Structure and theoretical PXRD pattern of TaAs2 (the GGA-PBE geometry in the Materials Project; Cu Ka).
No peak broadening, texture or thermal motion is included.

Crystal structure
abc: 9.440 3.426 7.848
angles: 90.00 119.70 90.00
Sites, in units of the cell vectors:
Ta1 0.157 0.000 0.195
Ta2 0.343 0.500 0.805
Ta3 0.657 0.500 0.195
Ta4 0.843 0.000 0.805
As1 0.094 0.500 0.892
As2 0.141 0.000 0.528
As3 0.359 0.500 0.472
As4 0.406 0.000 0.108
As5 0.594 0.000 0.892
As6 0.641 0.500 0.528
As7 0.859 0.000 0.472
As8 0.906 0.500 0.108

The 6 most intense peaks (10 to 90 degrees two-theta), low angle first:
| d (Å) | Rel. int. | hkl |
| --- | --- | --- |
| 4.685 | 50 | 2 0 -1 |
| 2.679 | 100 | 1 1 1 |
| 2.272 | 41 | 0 0 3 |
| 2.137 | 82 | 3 1 0 |
| 2.124 | 42 | 1 1 2 |
| 1.987 | 47 | 3 1 -3 |